[1]
Diffraction record for Zn2GaAu7. The PXRD pattern is calculated, not measured: it uses a GGA-PBE-relaxed structure and Cu Kα (λ = 1.5418 Å).
Neutral-atom scattering factors, no anomalous dispersion.

Main lines, sorted by position (10 to 90 degrees two-theta):
| 2θ (°) | d_spacing | I/Imax |
| --- | --- | --- |
| 26.2 | 3.407 | 15 |
| 33.6 | 2.671 | 17 |
| 36.2 | 2.480 | 15 |
| 36.7 | 2.450 | 100 |
| 38.8 | 2.320 | 37 |
| 39.4 | 2.288 | 38 |
| 42.9 | 2.110 | 50 |
| 46.4 | 1.957 | 30 |
| 48.9 | 1.861 | 10 |
| 64.6 | 1.443 | 14 |
| 65.4 | 1.428 | 17 |
| 79.5 | 1.205 | 11 |

```
data_Zn2GaAu7
_chemical_formula_sum 'Zn4 Ga2 Au14'
_cell_length_a 7.6370
_cell_length_b 7.6370
_cell_length_c 9.3489
_cell_angle_alpha 118.02
_cell_angle_beta 118.02
_cell_angle_gamma 48.59
_symmetry_space_group_name_H-M 'P 1'
_symmetry_Int_Tables_number 1
loop_
_symmetry_equiv_pos_as_xyz
'x,y,z'
loop_
_atom_site_label
_atom_site_type_symbol
_atom_site_fract_x
_atom_site_fract_y
_atom_site_fract_z
Zn1 Zn 0.1374 0.2671 0.3300
Zn2 Zn 0.2671 0.1374 0.8300
Zn3 Zn 0.7329 0.8626 0.1700
Zn4 Zn 0.8626 0.7329 0.6700
Ga1 Ga 0.4089 0.5911 0.7500
Ga2 Ga 0.5911 0.4089 0.2500
Au1 Au 0.0435 0.7186 0.4739
Au2 Au 0.1177 0.8823 0.2500
Au3 Au 0.1847 0.4239 0.1498
Au4 Au 0.2468 0.5642 0.9347
Au5 Au 0.2814 0.9565 0.0261
Au6 Au 0.4239 0.1847 0.6498
Au7 Au 0.4358 0.7532 0.5653
Au8 Au 0.5642 0.2468 0.4347
Au9 Au 0.5761 0.8153 0.3502
Au10 Au 0.7186 0.0435 0.9739
Au11 Au 0.7532 0.4358 0.0653
Au12 Au 0.8153 0.5761 0.8502
Au13 Au 0.8823 0.1177 0.7500
Au14 Au 0.9565 0.2814 0.5261
```



[2]
Diffraction record for ThBeTl. The PXRD pattern is calculated, not measured: it uses a GGA-PBE-relaxed structure and Cu Kα (λ = 1.5418 Å).
Neutral-atom scattering factors, no anomalous dispersion.

Main lines, sorted by position (10 to 90 degrees two-theta):
| 2θ (°) | d_spacing | I/Imax |
| --- | --- | --- |
| 21.0 | 4.224 | 21 |
| 26.1 | 3.415 | 14 |
| 31.1 | 2.875 | 100 |
| 31.6 | 2.836 | 65 |
| 34.2 | 2.624 | 69 |
| 40.2 | 2.244 | 15 |
| 41.3 | 2.185 | 28 |
| 46.3 | 1.962 | 16 |
| 52.9 | 1.731 | 32 |
| 58.8 | 1.571 | 30 |
| 59.8 | 1.546 | 26 |
| 63.7 | 1.460 | 13 |

```
data_ThBeTl
_chemical_formula_sum 'Th2 Be2 Tl2'
_cell_length_a 8.4902
_cell_length_b 8.4902
_cell_length_c 3.9243
_cell_angle_alpha 90.00
_cell_angle_beta 90.00
_cell_angle_gamma 150.17
_symmetry_space_group_name_H-M 'P 1'
_symmetry_Int_Tables_number 1
loop_
_symmetry_equiv_pos_as_xyz
'x,y,z'
loop_
_atom_site_label
_atom_site_type_symbol
_atom_site_fract_x
_atom_site_fract_y
_atom_site_fract_z
Th1 Th 0.0878 0.9122 0.7500
Th2 Th 0.9122 0.0878 0.2500
Be1 Be 0.4680 0.5320 0.7500
Be2 Be 0.5320 0.4680 0.2500
Tl1 Tl 0.2972 0.7028 0.7500
Tl2 Tl 0.7028 0.2972 0.2500
```



[3]
Diffraction record for NdBe6Au12. The PXRD pattern is calculated, not measured: it uses a GGA-PBE-relaxed structure and Cu Kα (λ = 1.5418 Å).
Neutral-atom scattering factors, no anomalous dispersion.

Main lines, sorted by position (10 to 90 degrees two-theta):
| 2θ (°) | d_spacing | I/Imax |
| --- | --- | --- |
| 29.4 | 3.033 | 14 |
| 33.0 | 2.713 | 100 |
| 36.3 | 2.477 | 23 |
| 39.3 | 2.293 | 73 |
| 44.8 | 2.022 | 7 |
| 52.2 | 1.751 | 9 |
| 54.5 | 1.683 | 10 |
| 63.2 | 1.471 | 38 |
| 65.3 | 1.430 | 16 |
| 67.3 | 1.392 | 25 |
| 75.1 | 1.265 | 16 |
| 78.9 | 1.213 | 10 |

```
data_NdBe6Au12
_chemical_formula_sum 'Nd1 Be6 Au12'
_cell_length_a 7.4298
_cell_length_b 7.4298
_cell_length_c 7.4298
_cell_angle_alpha 109.47
_cell_angle_beta 109.47
_cell_angle_gamma 109.47
_symmetry_space_group_name_H-M 'P 1'
_symmetry_Int_Tables_number 1
loop_
_symmetry_equiv_pos_as_xyz
'x,y,z'
loop_
_atom_site_label
_atom_site_type_symbol
_atom_site_fract_x
_atom_site_fract_y
_atom_site_fract_z
Nd1 Nd 0.0000 0.0000 0.0000
Be1 Be 0.1273 0.6273 0.5000
Be2 Be 0.3727 0.5000 0.8727
Be3 Be 0.5000 0.1273 0.6273
Be4 Be 0.5000 0.8727 0.3727
Be5 Be 0.6273 0.5000 0.1273
Be6 Be 0.8727 0.3727 0.5000
Au1 Au 0.1408 0.8267 0.3141
Au2 Au 0.1733 0.3141 0.4874
Au3 Au 0.1733 0.6859 0.8592
Au4 Au 0.3141 0.1408 0.8267
Au5 Au 0.3141 0.4874 0.1733
Au6 Au 0.4874 0.1733 0.3141
Au7 Au 0.5126 0.8267 0.6859
Au8 Au 0.6859 0.5126 0.8267
Au9 Au 0.6859 0.8592 0.1733
Au10 Au 0.8267 0.3141 0.1408
Au11 Au 0.8267 0.6859 0.5126
Au12 Au 0.8592 0.1733 0.6859
```



[4]
Diffraction record for CeAlGe. The PXRD pattern is calculated, not measured: it uses a GGA-PBE-relaxed structure and Cu Kα (λ = 1.5418 Å).
Neutral-atom scattering factors, no anomalous dispersion.

Main lines, sorted by position (10 to 90 degrees two-theta):
| 2θ (°) | d_spacing | I/Imax |
| --- | --- | --- |
| 23.3 | 3.822 | 73 |
| 30.2 | 2.961 | 100 |
| 33.1 | 2.703 | 55 |
| 38.5 | 2.341 | 45 |
| 40.9 | 2.207 | 40 |
| 43.2 | 2.094 | 41 |
| 45.4 | 1.996 | 14 |
| 49.7 | 1.836 | 16 |
| 51.7 | 1.769 | 39 |
| 57.4 | 1.606 | 41 |
| 64.5 | 1.445 | 19 |
| 72.8 | 1.298 | 37 |

```
data_CeAlGe
_chemical_formula_sum 'Ce4 Al4 Ge4'
_cell_length_a 6.6204
_cell_length_b 6.6204
_cell_length_c 6.6204
_cell_angle_alpha 90.00
_cell_angle_beta 90.00
_cell_angle_gamma 90.00
_symmetry_space_group_name_H-M 'P 1'
_symmetry_Int_Tables_number 1
loop_
_symmetry_equiv_pos_as_xyz
'x,y,z'
loop_
_atom_site_label
_atom_site_type_symbol
_atom_site_fract_x
_atom_site_fract_y
_atom_site_fract_z
Ce1 Ce 0.1802 0.3198 0.6802
Ce2 Ce 0.3198 0.6802 0.1802
Ce3 Ce 0.6802 0.1802 0.3198
Ce4 Ce 0.8198 0.8198 0.8198
Al1 Al 0.2017 0.2017 0.2017
Al2 Al 0.2983 0.7983 0.7017
Al3 Al 0.7017 0.2983 0.7983
Al4 Al 0.7983 0.7017 0.2983
Ge1 Ge 0.0550 0.9450 0.4450
Ge2 Ge 0.4450 0.0550 0.9450
Ge3 Ge 0.5550 0.5550 0.5550
Ge4 Ge 0.9450 0.4450 0.0550
```